EuNi5P3: theoretical XRD peak list (a wavelength of 1.5418 Å), based on a GGA-PBE-relaxed structure.

Most intense lines, 15 to 90 degrees two-theta, in order of falling intensity:
35.1 deg, I = 100.0
40.9 deg, I = 68.7
37.4 deg, I = 66.9
33.9 deg, I = 59.2
50.8 deg, I = 47.0
27.8 deg, I = 45.3
31.6 deg, I = 33.9
46.3 deg, I = 30.1
38.7 deg, I = 27.7
59.6 deg, I = 27.4

Structural model:
a = 6.119 Å, b = 6.119 Å, c = 11.499 Å
α = 90.00°, β = 90.00°, γ = 145.81°
Atoms (fractional coordinates):
Eu (0.162, 0.838, 0.750)
Eu (0.838, 0.162, 0.250)
Ni (0.000, 0.000, 0.000)
Ni (0.000, 0.000, 0.500)
Ni (0.198, 0.802, 0.068)
Ni (0.198, 0.802, 0.432)
Ni (0.449, 0.551, 0.645)
Ni (0.449, 0.551, 0.855)
Ni (0.551, 0.449, 0.145)
Ni (0.551, 0.449, 0.355)
Ni (0.802, 0.198, 0.568)
Ni (0.802, 0.198, 0.932)
P (0.117, 0.883, 0.250)
P (0.382, 0.618, 0.041)
P (0.382, 0.618, 0.459)
P (0.618, 0.382, 0.541)
P (0.618, 0.382, 0.959)
P (0.883, 0.117, 0.750)